Entry 1:
The following is a theoretical powder diffractogram of LiYHg2. It was derived from DFT lattice parameters and positions (GGA-PBE), using λ = 1.5418 Å (Cu Kα).

Top 8 peaks for 15° ≤ 2θ ≤ 90°, by intensity:
| 2theta | d [Å] | I (rel.) |
| --- | --- | --- |
| 35.78 | 2.509 | 100 |
| 36.04 | 2.492 | 55 |
| 25.27 | 3.525 | 50 |
| 64.63 | 1.442 | 36 |
| 24.92 | 3.573 | 21 |
| 28.23 | 3.161 | 21 |
| 44.31 | 2.044 | 20 |
| 51.88 | 1.762 | 20 |

Atomic structure:
Unit cell a=3.5246 b=3.5246 c=7.1467 alpha=90.00 beta=90.00 gamma=90.00
Element x y z (fractional)
Li 0.0000 0.0000 0.0000
Y 0.0000 0.0000 0.5000
Hg 0.5000 0.5000 0.2207
Hg 0.5000 0.5000 0.7793

Entry 2:
The following is a theoretical powder diffractogram of Li2ZnHg. It was derived from DFT lattice parameters and positions (GGA-PBE), using λ = 1.5418 Å (Cu Kα).

Top 8 peaks for 15° ≤ 2θ ≤ 90°, by intensity:
| 2theta | d [Å] | I (rel.) |
| --- | --- | --- |
| 24.31 | 3.661 | 100 |
| 40.22 | 2.242 | 77 |
| 47.56 | 1.912 | 51 |
| 73.11 | 1.294 | 26 |
| 64.00 | 1.455 | 21 |
| 28.14 | 3.171 | 20 |
| 78.35 | 1.220 | 16 |
| 58.19 | 1.585 | 13 |

Atomic structure:
Unit cell a=6.3414 b=6.3414 c=6.3414 alpha=90.00 beta=90.00 gamma=90.00
Element x y z (fractional)
Li 0.0000 0.0000 0.0000
Li 0.0000 0.5000 0.5000
Li 0.2500 0.2500 0.2500
Li 0.2500 0.7500 0.7500
Li 0.5000 0.0000 0.5000
Li 0.5000 0.5000 0.0000
Li 0.7500 0.2500 0.7500
Li 0.7500 0.7500 0.2500
Zn 0.2500 0.2500 0.7500
Zn 0.2500 0.7500 0.2500
Zn 0.7500 0.2500 0.2500
Zn 0.7500 0.7500 0.7500
Hg 0.0000 0.0000 0.5000
Hg 0.0000 0.5000 0.0000
Hg 0.5000 0.0000 0.0000
Hg 0.5000 0.5000 0.5000

Entry 3:
The following is a theoretical powder diffractogram of Lu2HgO4. It was derived from DFT lattice parameters and positions (GGA-PBE), using λ = 1.5418 Å (Cu Kα).

Top 8 peaks for 15° ≤ 2θ ≤ 90°, by intensity:
| 2theta | d [Å] | I (rel.) |
| --- | --- | --- |
| 31.54 | 2.837 | 100 |
| 50.39 | 1.811 | 40 |
| 55.22 | 1.663 | 38 |
| 26.80 | 3.327 | 32 |
| 32.98 | 2.716 | 24 |
| 78.00 | 1.225 | 23 |
| 47.33 | 1.921 | 13 |
| 64.99 | 1.435 | 13 |

Atomic structure:
Unit cell a=6.6534 b=6.6534 c=6.6534 alpha=60.00 beta=60.00 gamma=60.00
Element x y z (fractional)
Lu 0.0000 0.0000 0.0000
Lu 0.0000 0.0000 0.5000
Lu 0.0000 0.5000 0.0000
Lu 0.5000 0.0000 0.0000
Hg 0.3750 0.3750 0.3750
Hg 0.6250 0.6250 0.6250
O 0.2017 0.7661 0.7661
O 0.2339 0.2339 0.2339
O 0.2339 0.2339 0.7983
O 0.2339 0.7983 0.2339
O 0.7661 0.2017 0.7661
O 0.7661 0.7661 0.2017
O 0.7661 0.7661 0.7661
O 0.7983 0.2339 0.2339

Entry 4:
The following is a theoretical powder diffractogram of LuHgSO. It was derived from DFT lattice parameters and positions (GGA-PBE), using λ = 1.5418 Å (Cu Kα).

Top 8 peaks for 15° ≤ 2θ ≤ 90°, by intensity:
| 2theta | d [Å] | I (rel.) |
| --- | --- | --- |
| 23.65 | 3.761 | 100 |
| 28.30 | 3.153 | 80 |
| 29.26 | 3.052 | 69 |
| 34.35 | 2.610 | 40 |
| 42.14 | 2.145 | 35 |
| 50.29 | 1.814 | 26 |
| 39.71 | 2.270 | 25 |
| 22.90 | 3.883 | 21 |

Atomic structure:
Unit cell a=7.9135 b=8.5506 c=5.2208 alpha=90.00 beta=90.00 gamma=90.00
Element x y z (fractional)
Lu 0.0714 0.1661 0.0000
Lu 0.4286 0.1661 0.5000
Lu 0.5714 0.8339 0.0000
Lu 0.9286 0.8339 0.5000
Hg 0.1612 0.6138 0.9143
Hg 0.3388 0.6138 0.4143
Hg 0.6612 0.3862 0.9143
Hg 0.8388 0.3862 0.4143
S 0.1005 0.1081 0.5017
S 0.3995 0.1081 0.0017
S 0.6005 0.8919 0.5017
S 0.8995 0.8919 0.0017
O 0.0306 0.3921 0.0419
O 0.4694 0.3921 0.5419
O 0.5306 0.6079 0.0419
O 0.9694 0.6079 0.5419